Computed PXRD pattern
Compound: MgCd3
Radiation: Cu Kα
Structure: the GGA-PBE geometry in the Materials Project
Lines closer than 0.1° are merged.

Structural model:
Cell: 3.209 10.571 5.289 Å, 90.00 90.00 90.00°
Space group Imm2 (No. 44)
Asymmetric unit:
Mg 0.000 0.000 0.000 (multiplicity 2)
Cd 0.000 0.252 0.336 (multiplicity 4)
Cd 0.000 0.500 0.005 (multiplicity 2)

Largest 10 diffraction maxima, low angle first, 10 to 90 degrees two-theta:
two_theta, I_rel
18.76, 20.1
32.64, 27.1
33.92, 53.5
36.92, 100.0
38.05, 46.1
47.79, 18.0
59.86, 15.1
62.67, 21.4
70.61, 18.1
70.99, 13.7